For NpInCuO6, a crystal structure in Alexandria, relaxed with PBE gives the computed powder diffractogram in this record (Cu Ka).

The 10 most intense peaks (2θ from 10° to 80°), sorted by position:
- 18.85 deg, I 23
- 19.84 deg, I 48
- 21.32 deg, I 32
- 27.49 deg, I 100
- 32.95 deg, I 71
- 38.75 deg, I 57
- 43.43 deg, I 29
- 53.00 deg, I 58
- 55.57 deg, I 28
- 58.84 deg, I 24

Structure:
```
NpInCuO6
1.0
5.4370 0.0000 0.0000
-2.7185 4.7086 0.0000
0.0000 0.0000 8.9522
Np In Cu O
2 2 2 12
Direct
0.3333 0.6667 0.2500
0.6667 0.3333 0.7500
0.3333 0.6667 0.7500
0.6667 0.3333 0.2500
0.0000 0.0000 0.0000
0.0000 0.0000 0.5000
0.0227 0.3464 0.1267
0.0227 0.6763 0.3733
0.3237 0.3464 0.3733
0.3237 0.9773 0.1267
0.3464 0.0227 0.6267
0.3464 0.3237 0.8733
0.6536 0.6763 0.1267
0.6536 0.9773 0.3733
0.6763 0.0227 0.8733
0.6763 0.6536 0.6267
0.9773 0.3237 0.6267
0.9773 0.6536 0.8733
```

For PaInCu2O8, a crystal structure in Alexandria, relaxed with PBE gives the computed powder diffractogram in this record (Cu Ka).

The 10 most intense peaks (2θ from 10° to 80°), sorted by position:
- 18.62 deg, I 46
- 25.36 deg, I 100
- 31.65 deg, I 13
- 32.98 deg, I 73
- 36.17 deg, I 24
- 49.75 deg, I 64
- 52.09 deg, I 15
- 58.80 deg, I 14
- 63.08 deg, I 34
- 74.90 deg, I 13

Structure:
```
PaInCu2O8
1.0
-3.5116 3.5116 3.2445
3.5116 -3.5116 3.2445
3.5116 3.5116 -3.2445
Pa In Cu O
1 1 2 8
Direct
0.0000 0.0000 0.0000
0.7500 0.2500 0.5000
0.2500 0.7500 0.5000
0.5000 0.5000 0.0000
0.0420 0.3624 0.3204
0.0420 0.7216 0.6796
0.1139 0.2922 0.8217
0.2784 0.9580 0.3204
0.4704 0.2922 0.1783
0.6376 0.9580 0.6796
0.7078 0.5296 0.8217
0.7078 0.8861 0.1783
```

For PuInCu2O6, a crystal structure in Alexandria, relaxed with PBE gives the computed powder diffractogram in this record (Cu Ka).

The 10 most intense peaks (2θ from 10° to 80°), sorted by position:
- 17.87 deg, I 87
- 21.68 deg, I 45
- 25.89 deg, I 51
- 28.97 deg, I 39
- 30.61 deg, I 38
- 32.11 deg, I 48
- 32.30 deg, I 56
- 32.97 deg, I 100
- 34.41 deg, I 42
- 57.07 deg, I 36

Structure:
```
PuInCu2O6
1.0
5.0307 -4.7748 0.0000
5.0307 4.7748 0.0000
-0.9063 0.0000 5.5438
Pu In Cu O
2 2 4 12
Direct
0.2244 0.7756 0.7500
0.7756 0.2244 0.2500
0.4090 0.5910 0.2500
0.5910 0.4090 0.7500
0.0978 0.2731 0.8153
0.2731 0.0978 0.3153
0.7269 0.9022 0.6847
0.9022 0.7269 0.1847
0.0471 0.2160 0.1352
0.1311 0.6552 0.4063
0.2160 0.0471 0.6352
0.3002 0.4786 0.8805
0.3448 0.8689 0.0937
0.4786 0.3002 0.3805
0.5214 0.6998 0.6195
0.6552 0.1311 0.9063
0.6998 0.5214 0.1195
0.7840 0.9529 0.3648
0.8689 0.3448 0.5937
0.9529 0.7840 0.8648
```

For Sr2InCu3O6, a crystal structure in Alexandria, relaxed with PBE gives the computed powder diffractogram in this record (Cu Ka).

The 10 most intense peaks (2θ from 10° to 80°), sorted by position:
- 33.02 deg, I 100
- 33.42 deg, I 60
- 38.99 deg, I 22
- 47.99 deg, I 34
- 58.71 deg, I 13
- 59.48 deg, I 36
- 63.48 deg, I 10
- 69.27 deg, I 7
- 70.21 deg, I 10
- 79.80 deg, I 8

Structure:
```
Sr2InCu3O6
1.0
3.7915 0.0000 0.0000
0.0000 3.7915 0.0000
0.0000 0.0000 11.6507
Sr In Cu O
2 1 3 6
Direct
0.0000 0.0000 0.1997
0.0000 0.0000 0.8003
0.0000 0.0000 0.5000
0.5000 0.5000 0.0000
0.5000 0.5000 0.3576
0.5000 0.5000 0.6424
0.0000 0.5000 0.3791
0.0000 0.5000 0.6209
0.5000 0.0000 0.3791
0.5000 0.0000 0.6209
0.5000 0.5000 0.1562
0.5000 0.5000 0.8438
```

For InCuTeO6, a crystal structure in Alexandria, relaxed with PBE gives the computed powder diffractogram in this record (Cu Ka).

The 10 most intense peaks (2θ from 10° to 80°), sorted by position:
- 20.89 deg, I 9
- 26.48 deg, I 100
- 34.09 deg, I 75
- 37.79 deg, I 21
- 51.80 deg, I 64
- 54.52 deg, I 16
- 61.60 deg, I 14
- 65.33 deg, I 14
- 65.88 deg, I 19
- 78.53 deg, I 12

Structure:
```
InCuTeO6
1.0
4.7609 0.0000 0.0000
0.0000 4.7609 0.0000
0.0000 0.0000 9.4649
In Cu Te O
2 2 2 12
Direct
0.0000 0.0000 0.0000
0.5000 0.5000 0.5000
0.0000 0.0000 0.3316
0.5000 0.5000 0.8316
0.0000 0.0000 0.6654
0.5000 0.5000 0.1654
0.1806 0.1806 0.5031
0.1959 0.1959 0.8181
0.2068 0.2068 0.1718
0.2932 0.7068 0.6718
0.3041 0.6959 0.3181
0.3194 0.6806 0.0031
0.6806 0.3194 0.0031
0.6959 0.3041 0.3181
0.7068 0.2932 0.6718
0.7932 0.7932 0.1718
0.8041 0.8041 0.8181
0.8194 0.8194 0.5031
```

For In2CuOs, a crystal structure in Alexandria, relaxed with PBE gives the computed powder diffractogram in this record (Cu Ka).

The 10 most intense peaks (2θ from 10° to 80°), sorted by position:
- 14.74 deg, I 16
- 30.29 deg, I 12
- 37.56 deg, I 60
- 40.12 deg, I 100
- 40.55 deg, I 6
- 54.16 deg, I 21
- 61.74 deg, I 7
- 63.33 deg, I 3
- 69.50 deg, I 38
- 74.56 deg, I 16

Structure:
```
In2CuOs
1.0
3.3867 0.0000 0.0000
0.0000 3.3867 0.0000
0.0000 0.0000 6.0100
In Cu Os
2 1 1
Direct
0.0000 0.0000 0.2493
0.0000 0.0000 0.7507
0.5000 0.5000 0.0000
0.5000 0.5000 0.5000
```

For Pa2InCu, a crystal structure in Alexandria, relaxed with PBE gives the computed powder diffractogram in this record (Cu Ka).

The 10 most intense peaks (2θ from 10° to 80°), sorted by position:
- 19.56 deg, I 15
- 28.67 deg, I 16
- 34.95 deg, I 100
- 39.73 deg, I 13
- 40.99 deg, I 36
- 58.41 deg, I 17
- 58.90 deg, I 10
- 59.37 deg, I 12
- 70.78 deg, I 26
- 73.82 deg, I 8

Structure:
```
Pa2InCu
1.0
3.1135 0.0000 0.0000
0.0000 3.1135 0.0000
0.0000 0.0000 9.0750
Pa In Cu
2 1 1
Direct
0.0000 0.0000 0.2212
0.0000 0.0000 0.7788
0.5000 0.5000 0.5000
0.5000 0.5000 0.0000
```

For InCuPb, a crystal structure in Alexandria, relaxed with PBE gives the computed powder diffractogram in this record (Cu Ka).

The 10 most intense peaks (2θ from 10° to 80°), sorted by position:
- 27.67 deg, I 32
- 28.89 deg, I 18
- 34.57 deg, I 100
- 38.11 deg, I 46
- 45.66 deg, I 10
- 48.52 deg, I 17
- 54.99 deg, I 16
- 59.19 deg, I 12
- 59.55 deg, I 11
- 66.61 deg, I 29

Structure:
```
InCuPb
1.0
-1.6697 1.6697 6.1802
1.6697 -1.6697 6.1802
1.6697 1.6697 -6.1802
In Cu Pb
1 1 1
Direct
0.0000 0.0000 0.0000
0.6273 0.6273 0.0000
0.2821 0.2821 0.0000
```

For InCu2PbS4, a crystal structure in Alexandria, relaxed with PBE gives the computed powder diffractogram in this record (Cu Ka).

The 10 most intense peaks (2θ from 10° to 80°), sorted by position:
- 21.53 deg, I 13
- 27.06 deg, I 100
- 30.64 deg, I 17
- 32.73 deg, I 8
- 34.85 deg, I 11
- 43.88 deg, I 20
- 45.44 deg, I 34
- 52.32 deg, I 32
- 55.05 deg, I 13
- 72.91 deg, I 12

Structure:
```
InCu2PbS4
1.0
-2.9180 2.9180 5.4717
2.9180 -2.9180 5.4717
2.9180 2.9180 -5.4717
In Cu Pb S
1 2 1 4
Direct
0.0000 0.0000 0.0000
0.2500 0.7500 0.5000
0.7500 0.2500 0.5000
0.5000 0.5000 0.0000
0.0824 0.0824 0.4630
0.3806 0.9176 0.0000
0.6194 0.6194 0.5370
0.9176 0.3806 0.0000
```

For In2Cu3Pd3, a crystal structure in Alexandria, relaxed with PBE gives the computed powder diffractogram in this record (Cu Ka).

The 10 most intense peaks (2θ from 10° to 80°), sorted by position:
- 22.20 deg, I 3
- 39.45 deg, I 100
- 45.04 deg, I 17
- 45.29 deg, I 17
- 47.28 deg, I 15
- 65.79 deg, I 10
- 67.36 deg, I 10
- 67.55 deg, I 10
- 79.32 deg, I 12
- 79.68 deg, I 12

Structure:
```
In2Cu3Pd3
1.0
4.0047 0.0000 0.0000
0.0000 4.0257 0.0000
0.0000 0.0000 7.6899
In Cu Pd
2 3 3
Direct
0.0000 0.0000 0.2497
0.0000 0.0000 0.7503
0.5000 0.0000 0.0000
0.5000 0.5000 0.2481
0.5000 0.5000 0.7519
0.0000 0.5000 0.0000
0.0000 0.5000 0.5000
0.5000 0.0000 0.5000
```

For In2Cu3Pd8, a crystal structure in Alexandria, relaxed with PBE gives the computed powder diffractogram in this record (Cu Ka).

The 10 most intense peaks (2θ from 10° to 80°), sorted by position:
- 35.29 deg, I 81
- 38.66 deg, I 22
- 38.87 deg, I 24
- 40.37 deg, I 24
- 40.66 deg, I 17
- 41.08 deg, I 28
- 41.52 deg, I 100
- 41.83 deg, I 41
- 43.49 deg, I 30
- 50.05 deg, I 18

Structure:
```
In2Cu3Pd8
1.0
6.4957 -3.5511 0.0000
6.4957 3.5511 0.0000
-0.3398 0.0000 4.6342
In Cu Pd
2 3 8
Direct
0.1622 0.1622 0.2586
0.8378 0.8378 0.7414
0.3255 0.6745 0.0000
0.5000 0.5000 0.5000
0.6745 0.3255 0.0000
0.0480 0.0480 0.7575
0.1295 0.5397 0.3140
0.3213 0.3213 0.8078
0.4603 0.8705 0.6860
0.5397 0.1295 0.3140
0.6787 0.6787 0.1922
0.8705 0.4603 0.6860
0.9520 0.9520 0.2425
```

For InCu5Pd4, a crystal structure in Alexandria, relaxed with PBE gives the computed powder diffractogram in this record (Cu Ka).

The 10 most intense peaks (2θ from 10° to 80°), sorted by position:
- 26.02 deg, I 13
- 33.55 deg, I 10
- 38.24 deg, I 14
- 38.53 deg, I 14
- 41.18 deg, I 15
- 42.11 deg, I 100
- 43.43 deg, I 35
- 44.28 deg, I 20
- 76.97 deg, I 12
- 77.57 deg, I 15

Structure:
```
InCu5Pd4
1.0
4.6828 -2.1454 0.0000
4.6828 2.1454 0.0000
-0.4815 0.0000 7.5204
In Cu Pd
1 5 4
Direct
0.0000 0.0000 0.0000
0.0000 0.0000 0.5000
0.2584 0.2584 0.4152
0.3133 0.3133 0.0606
0.6867 0.6867 0.9394
0.7416 0.7416 0.5848
0.1850 0.1850 0.7506
0.4704 0.4704 0.6985
0.5296 0.5296 0.3015
0.8150 0.8150 0.2494
```